Starting from a cell relaxed with PBE, the PXRD pattern of La3Si4Pd4 was calculated for Cu Kα X-rays.
Kinematic intensities with the Lorentz-polarization factor, no thermal factor.

Crystal structure
```
data_La3Si4Pd4
_cell_length_a 4.243
_cell_length_b 4.305
_cell_length_c 24.801
_cell_angle_alpha 90.00
_cell_angle_beta 90.00
_cell_angle_gamma 90.00
_symmetry_space_group_name_H-M 'I m m m'
_symmetry_Int_Tables_number 71
_symmetry_space_group_name_Hall '-I 2 2'
loop_
_atom_site_label
_atom_site_type_symbol
_atom_site_fract_x
_atom_site_fract_y
_atom_site_fract_z
_atom_site_occupancy
La1 La 0.000 0.000 0.000 1
La2 La 0.000 0.500 0.148 1
Si1 Si 0.000 0.000 0.451 1
Si2 Si 0.000 0.500 0.301 1
Pd1 Pd 0.000 0.000 0.248 1
Pd2 Pd 0.000 0.500 0.403 1
```

Principal peaks in the range 15 to 90 degrees two-theta, in order of rising 2θ:
2theta, I_rel
23.3, 10.0
27.7, 9.7
33.0, 100.0
38.8, 12.4
42.0, 16.4
42.6, 16.0
54.4, 10.0
61.4, 10.5
68.0, 9.3
71.9, 10.2